Simulated powder diffraction line list of LaCe3Ga4 for Cu Kα, from the PBE geometry in Alexandria.
Intensities are scaled so that the largest is 100.

The 6 most intense peaks (2θ = 10–80°), by intensity:
d/Å  2theta  intensity  index
2.629  34.10  100.0  1 1 2
2.367  38.01  37.2  2 0 0
1.412  66.18  28.5  3 1 2
1.580  58.39  20.9  2 0 4
2.123  42.59  13.4  0 0 4
1.674  54.84  12.7  2 2 0

Atomic structure:
Cell: 4.7349 4.7349 8.4910 Å, 90.00 90.00 90.00°
Fractional coordinates of all 8 atoms:
La1 0.0000 0.0000 0.0000
Ce1 0.0000 0.0000 0.5000
Ce2 0.5000 0.5000 0.0000
Ce3 0.5000 0.5000 0.5000
Ga1 0.0000 0.5000 0.2541
Ga2 0.0000 0.5000 0.7459
Ga3 0.5000 0.0000 0.2541
Ga4 0.5000 0.0000 0.7459

---

Simulated powder diffraction line list of MgSc5Ga4 for Cu Kα, from the PBE geometry in Alexandria.
Intensities are scaled so that the largest is 100.

The 6 most intense peaks (2θ = 10–80°), by intensity:
d/Å  2theta  intensity  index
2.408  37.35  100.0  1 0 5
2.398  37.51  51.6  1 1 0
1.386  67.57  31.6  2 1 5
1.695  54.09  16.9  2 0 0
1.392  67.25  14.1  1 1 10
1.204  79.63  8.5  2 0 10

Atomic structure:
Cell: 3.3909 3.3909 17.0996 Å, 90.00 90.00 90.00°
Fractional coordinates of all 10 atoms:
Mg1 0.0000 0.0000 0.0000
Sc1 0.5000 0.5000 0.1127
Sc2 0.5000 0.5000 0.3060
Sc3 0.5000 0.5000 0.5000
Sc4 0.5000 0.5000 0.6940
Sc5 0.5000 0.5000 0.8873
Ga1 0.0000 0.0000 0.2062
Ga2 0.0000 0.0000 0.4029
Ga3 0.0000 0.0000 0.5971
Ga4 0.0000 0.0000 0.7938